Starting from a GGA-PBE-relaxed structure, the X-ray diffraction stick pattern of Zr3Fe was computed for Cu Kα (λ = 1.5418 Å).

Peak list (10 most intense, 2θ from 10° to 90°, low angle first)
2θ (°)	d_spacing	I (rel.)	h k l
25.61	3.479	7	1 1 1
36.50	2.462	34	0 4 0
36.71	2.448	100	2 2 1
37.09	2.424	7	3 1 0
42.21	2.141	20	0 0 2
48.54	1.876	7	4 0 0
57.01	1.615	15	0 4 2
65.83	1.419	15	2 6 1
73.56	1.288	12	2 2 3
78.08	1.224	6	4 4 2

Structure:
```
data_Zr3Fe
_chemical_formula_sum 'Zr12 Fe4'
_space_group_name_H-M_alt 'C m c m'
_space_group_IT_number 63
_space_group_name_Hall '-C 2c 2'
_cell_length_a 7.5024
_cell_length_b 9.8468
_cell_length_c 4.2816
_cell_angle_alpha 90.00
_cell_angle_beta 90.00
_cell_angle_gamma 90.00
loop_
_atom_site_label
_atom_site_type_symbol
_atom_site_fract_x
_atom_site_fract_y
_atom_site_fract_z
Zr1 Zr 0.0000 0.1083 0.2500
Zr2 Zr 0.2100 0.3790 0.2500
Fe1 Fe 0.0000 0.3783 0.7500
```

***

Starting from a GGA-PBE-relaxed structure, the X-ray diffraction stick pattern of Gd3Ga2 was computed for Cu Kα (λ = 1.5418 Å).

Peak list (10 most intense, 2θ from 10° to 90°, low angle first)
2θ (°)	d_spacing	I (rel.)	h k l
24.26	3.669	16	2 1 0
28.11	3.174	23	1 1 2
30.82	2.901	27	2 2 0
32.15	2.785	76	2 0 2
34.00	2.637	100	2 1 2
34.57	2.595	69	3 1 0
51.89	1.762	17	4 1 2
53.16	1.723	21	3 3 2
60.48	1.531	21	3 1 4
62.72	1.481	16	5 1 2

Structure:
```
data_Gd3Ga2
_chemical_formula_sum 'Gd12 Ga8'
_space_group_name_H-M_alt 'P 42 n m'
_space_group_IT_number 102
_space_group_name_Hall 'P 4n -2n'
_cell_length_a 8.2050
_cell_length_b 8.2050
_cell_length_c 7.5835
_cell_angle_alpha 90.00
_cell_angle_beta 90.00
_cell_angle_gamma 90.00
loop_
_atom_site_label
_atom_site_type_symbol
_atom_site_fract_x
_atom_site_fract_y
_atom_site_fract_z
Gd1 Gd 0.0000 0.5000 0.0000
Gd2 Gd 0.1541 0.1541 0.2496
Gd3 Gd 0.1958 0.1958 0.7489
Ga1 Ga 0.1204 0.8796 0.9518
Ga2 Ga 0.1208 0.8792 0.5456
```

***

Please write out number 1 again, unchanged.
Starting from a GGA-PBE-relaxed structure, the X-ray diffraction stick pattern of Zr3Fe was computed for Cu Kα (λ = 1.5418 Å).

Peak list (10 most intense, 2θ from 10° to 90°, low angle first)
2θ (°)	d_spacing	I (rel.)	h k l
25.61	3.479	7	1 1 1
36.50	2.462	34	0 4 0
36.71	2.448	100	2 2 1
37.09	2.424	7	3 1 0
42.21	2.141	20	0 0 2
48.54	1.876	7	4 0 0
57.01	1.615	15	0 4 2
65.83	1.419	15	2 6 1
73.56	1.288	12	2 2 3
78.08	1.224	6	4 4 2

Structure:
```
data_Zr3Fe
_chemical_formula_sum 'Zr12 Fe4'
_space_group_name_H-M_alt 'C m c m'
_space_group_IT_number 63
_space_group_name_Hall '-C 2c 2'
_cell_length_a 7.5024
_cell_length_b 9.8468
_cell_length_c 4.2816
_cell_angle_alpha 90.00
_cell_angle_beta 90.00
_cell_angle_gamma 90.00
loop_
_atom_site_label
_atom_site_type_symbol
_atom_site_fract_x
_atom_site_fract_y
_atom_site_fract_z
Zr1 Zr 0.0000 0.1083 0.2500
Zr2 Zr 0.2100 0.3790 0.2500
Fe1 Fe 0.0000 0.3783 0.7500
```